Diffraction record for AlHgBH6. The XRD peak list is simulated, not measured: it uses DFT lattice parameters and positions (PBE) and Cu Kα (λ = 1.5418 Å).
No peak broadening, texture or thermal motion is included.

Atomic structure:
```
AlHgBH6
1.0
0.000 3.358 3.358
3.358 0.000 3.358
3.358 3.358 0.000
Al Hg B H
1 1 1 6
Direct
0.000 0.000 0.000
0.250 0.250 0.250
0.750 0.750 0.750
0.261 0.261 0.739
0.261 0.739 0.261
0.261 0.739 0.739
0.739 0.261 0.261
0.739 0.261 0.739
0.739 0.739 0.261
```

Most intense lines, 10° ≤ 2θ ≤ 80°, most intense first:
2theta  I_rel
22.93  100.0
37.89  61.7
44.75  54.9
26.54  45.2
60.04  23.4
68.43  22.3
61.77  18.0
73.22  17.6
46.86  14.8
54.66  11.4



Diffraction record for AlBH6W. The XRD peak list is simulated, not measured: it uses DFT lattice parameters and positions (PBE) and Cu Kα (λ = 1.5418 Å).
No peak broadening, texture or thermal motion is included.

Atomic structure:
```
AlBH6W
1.0
0.000 3.009 3.009
3.009 0.000 3.009
3.009 3.009 0.000
Al B H W
1 1 6 1
Direct
0.000 0.000 0.000
0.250 0.250 0.250
0.503 0.503 0.997
0.503 0.997 0.503
0.503 0.997 0.997
0.997 0.503 0.503
0.997 0.503 0.997
0.997 0.997 0.503
0.500 0.500 0.500
```

Most intense lines, 10° ≤ 2θ ≤ 80°, most intense first:
2theta  I_rel
25.64  100.0
29.69  85.2
42.48  76.4
50.28  49.9
69.90  31.3
77.73  26.5
52.68  25.7
67.88  20.5
61.64  13.5



Diffraction record for AlBIr6. The XRD peak list is simulated, not measured: it uses DFT lattice parameters and positions (PBE) and Cu Kα (λ = 1.5418 Å).
No peak broadening, texture or thermal motion is included.

Atomic structure:
```
AlBIr6
1.0
0.000 4.115 4.115
4.115 0.000 4.115
4.115 4.115 0.000
Al B Ir
1 1 6
Direct
0.000 0.000 0.000
0.750 0.750 0.750
0.279 0.279 0.721
0.279 0.721 0.279
0.279 0.721 0.721
0.721 0.279 0.279
0.721 0.279 0.721
0.721 0.721 0.279
```

Most intense lines, 10° ≤ 2θ ≤ 80°, most intense first:
2theta  I_rel
37.87  100.0
44.01  52.5
21.60  50.8
64.00  29.1
76.83  27.1
58.25  23.2
30.73  20.7
48.20  17.0
18.67  16.3
54.63  14.8
49.53  14.0
68.39  7.2



Diffraction record for AlB4Ir. The XRD peak list is simulated, not measured: it uses DFT lattice parameters and positions (PBE) and Cu Kα (λ = 1.5418 Å).
No peak broadening, texture or thermal motion is included.

Atomic structure:
```
AlB4Ir
1.0
-1.508 2.592 3.408
1.508 -2.592 3.408
1.508 2.592 -3.408
Al B Ir
1 4 1
Direct
0.000 0.000 0.000
0.068 0.737 0.331
0.407 0.737 0.669
0.593 0.263 0.331
0.932 0.263 0.669
0.500 0.500 0.000
```

Most intense lines, 10° ≤ 2θ ≤ 80°, most intense first:
2theta  I_rel
21.54  100.0
43.72  67.1
34.41  49.2
26.15  40.3
32.47  38.6
43.88  33.6
48.18  25.2
34.60  23.9
43.49  17.8
65.44  16.1
61.88  13.4
68.35  12.4